[1]
The following is a calculated XRD peak list of NaSrNiH6. It was derived from a structure optimized by DFT (PBE), using Cu Kα (λ = 1.5418 Å).
Neutral-atom scattering factors, no anomalous dispersion.

Peak list (8 most intense, 2θ = 5–70°, in order of falling intensity)
2theta  intensity
28.82  100
36.53  51
45.49  28
47.18  27
61.11  22
20.85  22
19.67  16
65.80  15

Structural model:
```
9
Lattice="4.9191 0.0000 0.0000 -2.4595 4.2600 0.0000 0.0000 0.0000 4.5125" Properties=species:S:1:pos:R:3 pbc="T T T"
Na 0.0000 0.0000 0.0000
Sr 2.4595 1.4200 2.2645
Ni 0.0000 2.8400 3.6350
H -1.1385 2.1827 4.5079
H 0.0000 1.5629 2.7100
H -1.1060 3.4786 2.7100
H 1.1385 2.1827 4.5079
H 0.0000 4.1546 4.5079
H 1.1060 3.4786 2.7100
```

[2]
The following is a calculated XRD peak list of Na3NpH2O6. It was derived from a structure optimized by DFT (PBE), using Cu Kα (λ = 1.5418 Å).
Neutral-atom scattering factors, no anomalous dispersion.

Peak list (8 most intense, 2θ = 5–70°, in order of falling intensity)
2theta  intensity
17.50  100
19.29  54
21.48  45
27.81  28
38.76  23
30.20  23
30.81  21
32.72  18

Structural model:
```
24
Lattice="0.0000 10.1608 5.1609 3.0285 0.0000 5.1609 3.0285 10.1608 0.0000" Properties=species:S:1:pos:R:3 pbc="T T T"
Na 0.0000 0.0000 0.0000
Na 3.0333 8.3346 3.5045
Na 1.5142 5.0804 2.5805
Na 3.0236 11.9871 3.5045
Na 4.5379 13.4150 6.0849
Na 1.5191 6.9067 6.0849
Np 3.0285 10.1608 6.8621
Np 4.5427 15.2413 9.4426
H 3.0166 2.8110 3.7740
H 4.5546 7.8914 6.3545
H 3.0403 17.5107 3.7740
H 1.5024 12.4303 6.3545
O 1.2008 1.4154 1.5755
O 2.7151 3.6651 4.1560
O 3.7068 6.1455 5.6539
O 1.8277 8.7455 1.5755
O 3.8931 11.2363 5.5114
O 5.4073 14.1658 8.0919
O 2.1639 9.0854 5.5114
O 3.3419 16.6566 4.1560
O 3.8644 11.2259 8.2344
O 2.3502 14.1762 5.6539
O 2.1925 9.0958 8.2344
O 3.6781 16.3167 8.0919
```

[3]
The following is a calculated XRD peak list of Na3NpH2O6. It was derived from a structure optimized by DFT (PBE), using Cu Kα (λ = 1.5418 Å).
Neutral-atom scattering factors, no anomalous dispersion.

Peak list (8 most intense, 2θ = 5–70°, in order of falling intensity)
2theta  intensity
17.61  100
18.92  84
21.54  69
17.44  57
29.77  41
27.85  38
38.92  32
31.34  32

Structural model:
```
24
Lattice="0.0000 10.1711 5.2860 2.9839 0.0000 5.2860 2.9839 10.1711 0.0000" Properties=species:S:1:pos:R:3 pbc="T T T"
Na 0.0000 0.0000 0.0000
Na 1.4919 5.0856 2.6430
Na 3.1222 8.3787 6.9799
Na 2.8456 11.9635 6.9799
Na 4.3376 13.4643 9.6229
Na 4.6141 17.0491 9.6229
Np 2.9839 10.1711 3.5788
Np 4.4758 15.2567 6.2218
H 5.4840 12.2882 7.0472
H 3.9920 13.1397 4.4042
H 1.9758 7.2026 4.4042
H 3.4677 18.2253 7.0472
O 4.5121 11.3343 3.5446
O 3.9199 9.0322 4.9307
O 3.0201 3.9225 6.1876
O 2.3698 6.3139 4.5625
O 5.0900 11.3995 7.2055
O 3.5980 14.0284 4.5625
O 1.4557 9.0080 3.5446
O 5.4119 16.3957 7.5737
O 2.0478 11.3101 4.9307
O 3.5398 14.1178 7.5737
O 2.9476 16.4198 6.1876
O 3.8617 19.1140 7.2055
```

[4]
The following is a calculated XRD peak list of Rb2NaNpH6. It was derived from a structure optimized by DFT (PBE), using Cu Kα (λ = 1.5418 Å).
Neutral-atom scattering factors, no anomalous dispersion.

Peak list (8 most intense, 2θ = 5–70°, in order of falling intensity)
2theta  intensity
27.74  100
16.88  49
49.06  42
32.65  31
39.63  20
64.82  18
43.35  14
57.29  14

Structural model:
```
10
Lattice="0.0000 4.5487 4.5487 4.5487 0.0000 4.5487 4.5487 4.5487 0.0000" Properties=species:S:1:pos:R:3 pbc="T T T"
Rb 2.2743 2.2743 2.2743
Rb 6.8230 6.8230 6.8230
Na 0.0000 0.0000 0.0000
Np 4.5487 4.5487 4.5487
H 4.5487 4.5487 2.3160
H 4.5487 2.3160 4.5487
H 6.7813 4.5487 4.5487
H 2.3160 4.5487 4.5487
H 4.5487 6.7813 4.5487
H 4.5487 4.5487 6.7813
```

[5]
The following is a calculated XRD peak list of Na3H3O2. It was derived from a structure optimized by DFT (PBE), using Cu Kα (λ = 1.5418 Å).
Neutral-atom scattering factors, no anomalous dispersion.

Peak list (8 most intense, 2θ = 5–70°, in order of falling intensity)
2theta  intensity
39.16  100
46.46  81
41.68  70
54.80  46
39.36  46
58.52  41
28.29  41
48.63  29

Structural model:
```
16
Lattice="1.2685 -4.6007 0.0000 1.2685 4.6007 0.0000 0.0000 0.0000 13.0007" Properties=species:S:1:pos:R:3 pbc="T T T"
Na 1.2685 3.4229 9.7506
Na 1.2685 1.2194 7.7933
Na 1.2685 1.2194 11.7078
Na 1.2685 -1.2194 1.2929
Na 1.2685 -1.2194 5.2074
Na 1.2685 -3.4229 3.2502
H 1.2685 3.4888 7.5200
H 1.2685 3.4888 11.9811
H 1.2685 3.4347 3.2502
H 1.2685 -3.4347 9.7506
H 1.2685 -3.4888 1.0197
H 1.2685 -3.4888 5.4807
O 1.2685 1.1862 1.1445
O 1.2685 1.1862 5.3559
O 1.2685 -1.1862 7.6449
O 1.2685 -1.1862 11.8562
```

[6]
The following is a calculated XRD peak list of Na6H4O. It was derived from a structure optimized by DFT (PBE), using Cu Kα (λ = 1.5418 Å).
Neutral-atom scattering factors, no anomalous dispersion.

Peak list (8 most intense, 2θ = 5–70°, in order of falling intensity)
2theta  intensity
17.09  100
24.69  87
41.40  86
39.95  81
39.09  76
31.25  72
27.27  60
36.81  57

Structural model:
```
22
Lattice="5.1895 2.9961 4.0261 -5.1895 2.9961 4.0261 0.0000 -5.9923 4.0261" Properties=species:S:1:pos:R:3 pbc="T T T"
Na -4.7187 -1.3029 6.6884
Na -1.2310 -4.7380 5.3900
Na -1.2310 -1.2543 4.6753
Na -3.4877 3.4351 5.3900
Na -0.4707 1.6932 4.6753
Na -1.7018 0.4390 7.4031
Na 1.7018 -0.4389 4.6753
Na 0.4707 -1.6932 7.4031
Na 3.4877 -3.4351 6.6884
Na 1.2310 1.2543 7.4031
Na 1.2310 4.7380 6.6884
Na 4.7187 1.3029 5.3900
H -3.5268 -0.1164 5.0327
H 0.0000 0.0000 3.0196
H -1.6626 -3.1125 7.0457
H 1.8642 -2.9961 5.0327
H -1.8642 2.9961 7.0457
H 1.6626 3.1125 5.0327
H 0.0000 0.0000 9.0588
H 3.5268 0.1164 7.0458
O 0.0000 0.0000 0.0000
O 0.0000 0.0000 6.0392
```

[7]
The following is a calculated XRD peak list of NaHO. It was derived from a structure optimized by DFT (PBE), using Cu Kα (λ = 1.5418 Å).
Neutral-atom scattering factors, no anomalous dispersion.

Peak list (8 most intense, 2θ = 5–70°, in order of falling intensity)
2theta  intensity
37.79  100
34.63  38
58.37  26
45.44  20
52.22  15
53.65  12
36.54  11
43.86  11

Structural model:
```
6
Lattice="1.7516 -5.1802 0.0000 1.7516 5.1802 0.0000 0.0000 0.0000 3.4166" Properties=species:S:1:pos:R:3 pbc="T T T"
Na 1.7516 3.5915 1.7083
Na 1.7516 -3.5915 0.0000
H 1.7516 0.4145 1.2896
H 1.7516 -0.4145 2.9979
O 1.7516 1.2458 1.8135
O 1.7516 -1.2458 0.1052
```

[8]
The following is a calculated XRD peak list of NaHO3. It was derived from a structure optimized by DFT (PBE), using Cu Kα (λ = 1.5418 Å).
Neutral-atom scattering factors, no anomalous dispersion.

Peak list (8 most intense, 2θ = 5–70°, in order of falling intensity)
2theta  intensity
21.21  100
43.20  47
48.60  36
62.74  23
67.03  14
37.18  13
30.17  4
53.59  2

Structural model:
```
5
Lattice="4.1887 0.0000 0.0000 0.0000 4.1887 0.0000 0.0000 0.0000 4.1887" Properties=species:S:1:pos:R:3 pbc="T T T"
Na 0.0000 0.0000 0.0000
H 2.0944 2.0944 2.0944
O 0.0000 0.0000 2.0944
O 0.0000 2.0944 0.0000
O 2.0944 0.0000 0.0000
```